Nd2GeO5: computed XRD peak list (CuKα), based on a crystal structure in the Materials Project, relaxed with PBE.
Lines closer than 0.1° are merged.

abc: 10.1774 7.3302 7.0550
angles: 90.00 107.63 90.00
Positions (direct):
Nd: 0.0307 0.1194 0.2443
Nd: 0.0307 0.3806 0.7443
Nd: 0.3497 0.1502 0.0779
Nd: 0.3497 0.3498 0.5779
Nd: 0.6503 0.6502 0.4221
Nd: 0.6503 0.8498 0.9221
Nd: 0.9693 0.6194 0.2557
Nd: 0.9693 0.8806 0.7557
Ge: 0.2908 0.6332 0.0185
Ge: 0.2908 0.8668 0.5185
Ge: 0.7092 0.1332 0.4815
Ge: 0.7092 0.3668 0.9815
O: 0.1013 0.6406 0.9767
O: 0.1013 0.8594 0.4767
O: 0.1097 0.1169 0.9528
O: 0.1097 0.3831 0.4528
O: 0.2825 0.0781 0.3607
O: 0.2825 0.4219 0.8607
O: 0.3229 0.0401 0.7490
O: 0.3229 0.4599 0.2490
O: 0.4720 0.1114 0.8137
O: 0.4720 0.3886 0.3137
O: 0.5280 0.6114 0.6863
O: 0.5280 0.8886 0.1863
O: 0.6771 0.5401 0.7510
O: 0.6771 0.9599 0.2510
O: 0.7175 0.5781 0.1393
O: 0.7175 0.9219 0.6393
O: 0.8903 0.6169 0.5472
O: 0.8903 0.8831 0.0472
O: 0.8987 0.1406 0.5233
O: 0.8987 0.3594 0.0233

Peak list (10 most intense, 10° ≤ 2θ ≤ 80°, low angle first)
| 2θ/deg | Rel. int. |
| --- | --- |
| 15.15 | 33 |
| 27.32 | 85 |
| 27.59 | 70 |
| 27.72 | 56 |
| 30.51 | 100 |
| 30.67 | 35 |
| 31.04 | 44 |
| 42.41 | 23 |
| 45.94 | 46 |
| 52.77 | 24 |



NdGeO3: computed XRD peak list (CuKα), based on a crystal structure in the Materials Project, relaxed with PBE.
Lines closer than 0.1° are merged.

abc: 3.9684 3.9684 3.9684
angles: 90.00 90.00 90.00
Positions (direct):
Nd: 0.0000 0.0000 0.0000
Ge: 0.5000 0.5000 0.5000
O: 0.0000 0.5000 0.5000
O: 0.5000 0.0000 0.5000
O: 0.5000 0.5000 0.0000

Peak list (9 most intense, 10° ≤ 2θ ≤ 80°, low angle first)
| 2θ/deg | Rel. int. |
| --- | --- |
| 22.40 | 8 |
| 31.89 | 100 |
| 39.32 | 13 |
| 45.73 | 31 |
| 51.49 | 4 |
| 56.83 | 40 |
| 66.66 | 19 |
| 71.29 | 2 |
| 75.80 | 17 |



Nd2GeO5: computed XRD peak list (CuKα), based on a crystal structure in the Materials Project, relaxed with PBE.
Lines closer than 0.1° are merged.

abc: 9.5525 7.3402 7.0466
angles: 90.00 106.39 90.00
Positions (direct):
Nd: 0.0241 0.1272 0.2323
Nd: 0.0241 0.3728 0.7323
Nd: 0.3738 0.1375 0.0633
Nd: 0.3738 0.3625 0.5633
Nd: 0.6262 0.6375 0.4367
Nd: 0.6262 0.8625 0.9367
Nd: 0.9759 0.6272 0.2677
Nd: 0.9759 0.8728 0.7677
Ge: 0.3005 0.5892 0.0309
Ge: 0.3005 0.9108 0.5309
Ge: 0.6995 0.0892 0.4691
Ge: 0.6995 0.4108 0.9691
O: 0.1098 0.6330 0.9926
O: 0.1098 0.8670 0.4926
O: 0.1125 0.1180 0.9409
O: 0.1125 0.3820 0.4409
O: 0.2876 0.0821 0.3417
O: 0.2876 0.4179 0.8417
O: 0.3858 0.0520 0.7345
O: 0.3858 0.4480 0.2345
O: 0.3947 0.7130 0.5120
O: 0.3947 0.7870 0.0120
O: 0.6053 0.2130 0.9880
O: 0.6053 0.2870 0.4880
O: 0.6142 0.5520 0.7655
O: 0.6142 0.9480 0.2655
O: 0.7124 0.5821 0.1583
O: 0.7124 0.9179 0.6583
O: 0.8875 0.6180 0.5591
O: 0.8875 0.8820 0.0591
O: 0.8902 0.1330 0.5074
O: 0.8902 0.3670 0.0074

Peak list (10 most intense, 10° ≤ 2θ ≤ 80°, low angle first)
| 2θ/deg | Rel. int. |
| --- | --- |
| 15.47 | 13 |
| 27.66 | 44 |
| 28.04 | 50 |
| 29.23 | 42 |
| 30.62 | 100 |
| 31.71 | 51 |
| 43.46 | 22 |
| 45.89 | 35 |
| 49.68 | 18 |
| 59.50 | 14 |



Nd3Ge13Os4: computed XRD peak list (CuKα), based on a crystal structure in the Materials Project, relaxed with PBE.
Lines closer than 0.1° are merged.

abc: 9.1916 9.1916 9.1916
angles: 90.00 90.00 90.00
Positions (direct):
Nd: 0.0000 0.2500 0.5000
Nd: 0.0000 0.7500 0.5000
Nd: 0.2500 0.5000 0.0000
Nd: 0.5000 0.0000 0.2500
Nd: 0.5000 0.0000 0.7500
Nd: 0.7500 0.5000 0.0000
Ge: 0.0000 0.0000 0.0000
Ge: 0.0000 0.2985 0.1467
Ge: 0.0000 0.2985 0.8533
Ge: 0.0000 0.7015 0.1467
Ge: 0.0000 0.7015 0.8533
Ge: 0.1467 0.0000 0.2985
Ge: 0.1467 0.0000 0.7015
Ge: 0.2015 0.5000 0.3533
Ge: 0.2015 0.5000 0.6467
Ge: 0.2985 0.1467 0.0000
Ge: 0.2985 0.8533 0.0000
Ge: 0.3533 0.2015 0.5000
Ge: 0.3533 0.7985 0.5000
Ge: 0.5000 0.3533 0.2015
Ge: 0.5000 0.3533 0.7985
Ge: 0.5000 0.5000 0.5000
Ge: 0.5000 0.6467 0.2015
Ge: 0.5000 0.6467 0.7985
Ge: 0.6467 0.2015 0.5000
Ge: 0.6467 0.7985 0.5000
Ge: 0.7015 0.1467 0.0000
Ge: 0.7015 0.8533 0.0000
Ge: 0.7985 0.5000 0.3533
Ge: 0.7985 0.5000 0.6467
Ge: 0.8533 0.0000 0.2985
Ge: 0.8533 0.0000 0.7015
Os: 0.2500 0.2500 0.2500
Os: 0.2500 0.2500 0.7500
Os: 0.2500 0.7500 0.2500
Os: 0.2500 0.7500 0.7500
Os: 0.7500 0.2500 0.2500
Os: 0.7500 0.2500 0.7500
Os: 0.7500 0.7500 0.2500
Os: 0.7500 0.7500 0.7500

Peak list (10 most intense, 10° ≤ 2θ ≤ 80°, low angle first)
| 2θ/deg | Rel. int. |
| --- | --- |
| 19.31 | 55 |
| 27.45 | 26 |
| 33.78 | 50 |
| 35.20 | 100 |
| 36.58 | 37 |
| 39.20 | 60 |
| 44.06 | 40 |
| 48.52 | 57 |
| 56.65 | 22 |
| 67.61 | 38 |



Nd2Ge3Pd: computed XRD peak list (CuKα), based on a crystal structure in the Materials Project, relaxed with PBE.
Lines closer than 0.1° are merged.

abc: 4.1951 4.3481 7.3814
angles: 90.00 90.00 90.00
Positions (direct):
Nd: 0.0000 0.0000 0.0000
Nd: 0.0000 0.5000 0.4957
Ge: 0.5000 0.0000 0.3343
Ge: 0.5000 0.0000 0.6720
Ge: 0.5000 0.5000 0.1610
Pd: 0.5000 0.5000 0.8296

Peak list (10 most intense, 10° ≤ 2θ ≤ 80°, low angle first)
| 2θ/deg | Rel. int. |
| --- | --- |
| 32.03 | 100 |
| 32.31 | 50 |
| 41.54 | 23 |
| 42.20 | 44 |
| 43.13 | 21 |
| 53.58 | 24 |
| 54.31 | 11 |
| 61.42 | 14 |
| 61.93 | 28 |
| 69.83 | 10 |



NdGe2Pd: computed XRD peak list (CuKα), based on a crystal structure in the Materials Project, relaxed with PBE.
Lines closer than 0.1° are merged.

abc: 8.9652 8.9652 4.4200
angles: 90.00 90.00 151.92
Positions (direct):
Nd: 0.1075 0.8925 0.7500
Nd: 0.8925 0.1075 0.2500
Ge: 0.2523 0.7477 0.2500
Ge: 0.4637 0.5363 0.7500
Ge: 0.5363 0.4637 0.2500
Ge: 0.7477 0.2523 0.7500
Pd: 0.3228 0.6772 0.7500
Pd: 0.6772 0.3228 0.2500

Peak list (10 most intense, 10° ≤ 2θ ≤ 80°, low angle first)
| 2θ/deg | Rel. int. |
| --- | --- |
| 29.26 | 42 |
| 32.76 | 100 |
| 32.97 | 62 |
| 37.09 | 33 |
| 40.83 | 41 |
| 41.53 | 40 |
| 46.55 | 21 |
| 53.44 | 31 |
| 56.88 | 22 |
| 59.65 | 27 |



NdGe2Pt2: computed XRD peak list (CuKα), based on a crystal structure in the Materials Project, relaxed with PBE.
Lines closer than 0.1° are merged.

abc: 4.3982 10.0958 4.3877
angles: 90.00 90.00 90.00
Positions (direct):
Nd: 0.0000 0.2473 0.0000
Nd: 0.5000 0.7527 0.5000
Ge: 0.0000 0.0005 0.5183
Ge: 0.0000 0.6321 0.9758
Ge: 0.5000 0.9995 0.0183
Ge: 0.5000 0.3679 0.4758
Pt: 0.0000 0.5003 0.4745
Pt: 0.0000 0.8761 0.0185
Pt: 0.5000 0.1239 0.5185
Pt: 0.5000 0.4997 0.9745

Peak list (10 most intense, 10° ≤ 2θ ≤ 80°, low angle first)
| 2θ/deg | Rel. int. |
| --- | --- |
| 30.10 | 32 |
| 33.55 | 65 |
| 33.88 | 100 |
| 41.04 | 40 |
| 41.15 | 37 |
| 46.35 | 36 |
| 49.70 | 26 |
| 54.05 | 33 |
| 59.52 | 25 |
| 70.20 | 16 |



NdGe2Pt2: computed XRD peak list (CuKα), based on a crystal structure in the Materials Project, relaxed with PBE.
Lines closer than 0.1° are merged.

abc: 5.9101 5.9101 5.9101
angles: 136.09 136.09 63.85
Positions (direct):
Nd: 0.0000 0.0000 0.0000
Ge: 0.3742 0.3742 0.0000
Ge: 0.6258 0.6258 0.0000
Pt: 0.2500 0.7500 0.5000
Pt: 0.7500 0.2500 0.5000

Peak list (10 most intense, 10° ≤ 2θ ≤ 80°, low angle first)
| 2θ/deg | Rel. int. |
| --- | --- |
| 17.68 | 25 |
| 33.61 | 24 |
| 33.79 | 100 |
| 40.84 | 50 |
| 46.42 | 23 |
| 53.88 | 12 |
| 55.41 | 13 |
| 59.12 | 17 |
| 63.05 | 17 |
| 69.86 | 25 |